For FeCl, DFT lattice parameters and positions (PBE) gives the simulated powder X-ray diffraction pattern in this record (Cu Kα X-rays).
Kinematic intensities with the Lorentz-polarization factor, no thermal factor.

Cell and atoms:
```
FeCl
1.0
3.266 0.000 0.000
0.000 3.266 0.000
0.000 0.000 7.028
Fe Cl
2 2
direct
0.250 0.250 0.068
0.750 0.750 0.932
0.250 0.250 0.733
0.750 0.750 0.267
```

Largest 8 diffraction maxima, low angle first, 10 to 80 degrees two-theta:
d = 7.028 Å, 2θ 12.6, intensity 100.0; d = 2.392 Å, 2θ 37.6, intensity 28.6; d = 2.309 Å, 2θ 39.0, intensity 41.8; d = 2.194 Å, 2θ 41.1, intensity 20.2; d = 1.904 Å, 2θ 47.8, intensity 40.2; d = 1.633 Å, 2θ 56.3, intensity 12.8; d = 1.349 Å, 2θ 69.7, intensity 7.9; d = 1.239 Å, 2θ 76.9, intensity 17.3

=====

For Fe5Cl4, DFT lattice parameters and positions (PBE) gives the simulated powder X-ray diffraction pattern in this record (Cu Kα X-rays).
Kinematic intensities with the Lorentz-polarization factor, no thermal factor.

Cell and atoms:
```
Fe5Cl4
1.0
-5.695 5.695 1.642
5.695 -5.695 1.642
5.695 5.695 -1.642
Fe Cl
5 4
direct
0.000 0.000 0.000
0.388 0.388 0.776
0.388 0.612 0.000
0.612 0.388 0.000
0.612 0.612 0.224
0.000 0.255 0.255
0.000 0.745 0.745
0.255 0.000 0.255
0.745 0.000 0.745
```

Largest 8 diffraction maxima, low angle first, 10 to 80 degrees two-theta:
d = 8.053 Å, 2θ 11.0, intensity 100.0; d = 5.695 Å, 2θ 15.6, intensity 12.1; d = 2.484 Å, 2θ 36.2, intensity 19.6; d = 2.114 Å, 2θ 42.8, intensity 31.2; d = 2.013 Å, 2θ 45.0, intensity 12.6; d = 1.872 Å, 2θ 48.6, intensity 13.5; d = 1.610 Å, 2θ 57.2, intensity 5.5; d = 1.273 Å, 2θ 74.6, intensity 4.9

=====

For GaFe2Cl8, DFT lattice parameters and positions (PBE) gives the simulated powder X-ray diffraction pattern in this record (Cu Kα X-rays).
Kinematic intensities with the Lorentz-polarization factor, no thermal factor.

Cell and atoms:
```
GaFe2Cl8
1.0
6.218 -4.540 0.000
6.218 4.540 0.000
-0.276 0.000 6.124
Ga Fe Cl
1 2 8
direct
0.000 0.000 0.000
0.185 0.185 0.616
0.815 0.815 0.384
0.094 0.734 0.218
0.166 0.166 0.250
0.266 0.906 0.782
0.352 0.352 0.715
0.648 0.648 0.285
0.734 0.094 0.218
0.834 0.834 0.750
0.906 0.266 0.782
```

Largest 8 diffraction maxima, low angle first, 10 to 80 degrees two-theta:
d = 7.330 Å, 2θ 12.1, intensity 100.0; d = 4.640 Å, 2θ 19.1, intensity 30.3; d = 4.540 Å, 2θ 19.6, intensity 35.5; d = 4.266 Å, 2θ 20.8, intensity 20.8; d = 3.182 Å, 2θ 28.0, intensity 38.2; d = 3.152 Å, 2θ 28.3, intensity 18.3; d = 2.291 Å, 2θ 39.3, intensity 14.5; d = 2.133 Å, 2θ 42.4, intensity 29.1

=====

For KFeH2Cl8, DFT lattice parameters and positions (PBE) gives the simulated powder X-ray diffraction pattern in this record (Cu Kα X-rays).
Kinematic intensities with the Lorentz-polarization factor, no thermal factor.

Cell and atoms:
```
KFeH2Cl8
1.0
6.638 0.000 0.000
2.390 6.289 0.000
2.921 -0.616 7.639
K Fe H Cl
1 1 2 8
direct
0.000 0.000 0.000
0.000 0.000 0.500
0.478 0.616 0.203
0.522 0.384 0.797
0.119 0.695 0.326
0.199 0.140 0.273
0.299 0.435 0.890
0.307 0.866 0.576
0.693 0.134 0.424
0.701 0.565 0.110
0.801 0.860 0.727
0.881 0.305 0.674
```

Largest 8 diffraction maxima, low angle first, 10 to 80 degrees two-theta:
d = 6.269 Å, 2θ 14.1, intensity 75.5; d = 5.788 Å, 2θ 15.3, intensity 97.9; d = 5.308 Å, 2θ 16.7, intensity 72.7; d = 5.049 Å, 2θ 17.6, intensity 57.0; d = 2.987 Å, 2θ 29.9, intensity 100.0; d = 2.774 Å, 2θ 32.3, intensity 82.1; d = 2.720 Å, 2θ 32.9, intensity 57.2; d = 2.659 Å, 2θ 33.7, intensity 83.4